No. 1
The following is a theoretical XRD peak list of CsOsN2. It was derived from a DFT-relaxed cell (PBE, the Materials Project), using Cu Ka.

Cell and atoms:
Cell lengths 10.6728, 10.6728, 10.6728 Å; angles 99.13, 99.13, 133.04 degrees
Fractional positions:
Cs  0.0223  0.6739  0.9490
Cs  0.1739  0.7250  0.6516
Cs  0.2250  0.0733  0.5510
Cs  0.3750  0.1250  0.2500
Cs  0.4267  0.4777  0.1516
Cs  0.5733  0.5223  0.8484
Cs  0.6250  0.8750  0.7500
Cs  0.7750  0.9267  0.4490
Cs  0.8261  0.2750  0.3484
Cs  0.9777  0.3261  0.0510
Os  0.0765  0.0261  0.8507
Os  0.1250  0.3750  0.7500
Os  0.2742  0.4235  0.4496
Os  0.3246  0.7742  0.3507
Os  0.4739  0.8246  0.0504
Os  0.5261  0.1754  0.9496
Os  0.6754  0.2258  0.6493
Os  0.7258  0.5765  0.5504
Os  0.8750  0.6250  0.2500
Os  0.9235  0.9739  0.1493
N  0.0000  0.0000  0.0000
N  0.0947  0.2001  0.2976
N  0.0998  0.6989  0.3027
N  0.1038  0.2029  0.8027
N  0.1989  0.3962  0.5991
N  0.2971  0.5947  0.3946
N  0.2971  0.5998  0.9009
N  0.2999  0.0975  0.8946
N  0.4025  0.7971  0.2024
N  0.5000  0.0000  0.0000
N  0.5000  0.0000  0.5000
N  0.5000  0.5000  0.5000
N  0.5975  0.2029  0.7976
N  0.7001  0.9025  0.1054
N  0.7029  0.4002  0.0991
N  0.7029  0.4053  0.6054
N  0.8011  0.6038  0.4009
N  0.8962  0.7971  0.1973
N  0.9002  0.3011  0.6973
N  0.9053  0.7999  0.7024

The 10 most intense peaks (2θ = 5–70°), sorted by position:
d_spacing, intensity
5.005, 10
3.096, 52
3.050, 100
2.189, 17
1.778, 42
1.752, 20
1.525, 14
1.384, 9
1.380, 9
1.348, 8



No. 2
The following is a theoretical XRD peak list of CsRbN. It was derived from a DFT-relaxed cell (PBE, the Materials Project), using Cu Ka.

Cell and atoms:
Cell lengths 5.2096, 5.2096, 5.2096 Å; angles 60.00, 60.00, 60.00 degrees
Fractional positions:
Cs  0.0000  0.0000  0.0000
Rb  0.5000  0.5000  0.5000
N  0.2500  0.2500  0.2500

The 10 most intense peaks (2θ = 5–70°), sorted by position:
d_spacing, intensity
4.254, 9
3.684, 97
2.605, 100
2.221, 5
2.127, 29
1.842, 17
1.690, 2
1.647, 39
1.504, 35
1.418, 2



No. 3
The following is a theoretical XRD peak list of CsReN2. It was derived from a DFT-relaxed cell (PBE, the Materials Project), using Cu Ka.

Cell and atoms:
Cell lengths 8.5771, 6.2031, 12.3587 Å; angles 90.00, 90.00, 90.00 degrees
Fractional positions:
Cs  0.1234  0.1836  0.2500
Cs  0.1234  0.3164  0.7500
Cs  0.3741  0.2500  0.0000
Cs  0.3741  0.2500  0.5000
Cs  0.6259  0.7500  0.0000
Cs  0.6259  0.7500  0.5000
Cs  0.8766  0.6836  0.2500
Cs  0.8766  0.8164  0.7500
Re  0.1252  0.7500  0.0000
Re  0.1252  0.7500  0.5000
Re  0.3757  0.7102  0.2500
Re  0.3757  0.7898  0.7500
Re  0.6243  0.2102  0.2500
Re  0.6243  0.2898  0.7500
Re  0.8748  0.2500  0.0000
Re  0.8748  0.2500  0.5000
N  0.0000  0.0000  0.0000
N  0.0000  0.0000  0.5000
N  0.0000  0.5000  0.0000
N  0.0000  0.5000  0.5000
N  0.2517  0.7331  0.1248
N  0.2517  0.7331  0.3752
N  0.2517  0.7669  0.6248
N  0.2517  0.7669  0.8752
N  0.4843  0.0550  0.7500
N  0.4843  0.4450  0.2500
N  0.5157  0.5550  0.7500
N  0.5157  0.9450  0.2500
N  0.7483  0.2331  0.1248
N  0.7483  0.2331  0.3752
N  0.7483  0.2669  0.6248
N  0.7483  0.2669  0.8752

The 10 most intense peaks (2θ = 5–70°), sorted by position:
d_spacing, intensity
5.020, 10
3.102, 22
3.090, 27
3.064, 100
2.189, 14
1.783, 14
1.779, 21
1.763, 19
1.532, 12
1.382, 10



No. 4
The following is a theoretical XRD peak list of Cs6ReN4. It was derived from a DFT-relaxed cell (PBE, the Materials Project), using Cu Ka.

Cell and atoms:
Cell lengths 9.1470, 9.1470, 8.5881 Å; angles 90.00, 90.00, 90.00 degrees
Fractional positions:
Cs  0.0275  0.5275  0.2500
Cs  0.0275  0.9725  0.2500
Cs  0.2500  0.2500  0.0154
Cs  0.2500  0.2500  0.5154
Cs  0.4725  0.5275  0.2500
Cs  0.4725  0.9725  0.2500
Cs  0.5275  0.0275  0.7500
Cs  0.5275  0.4725  0.7500
Cs  0.7500  0.7500  0.4846
Cs  0.7500  0.7500  0.9846
Cs  0.9725  0.0275  0.7500
Cs  0.9725  0.4725  0.7500
Re  0.2500  0.7500  0.7500
Re  0.7500  0.2500  0.2500
N  0.0790  0.7500  0.8680
N  0.2500  0.5790  0.6320
N  0.2500  0.9210  0.6320
N  0.4210  0.7500  0.8680
N  0.5790  0.2500  0.1320
N  0.7500  0.0790  0.3680
N  0.7500  0.4210  0.3680
N  0.9210  0.2500  0.1320

The 10 most intense peaks (2θ = 5–70°), sorted by position:
d_spacing, intensity
4.294, 27
3.693, 52
3.577, 71
3.234, 100
3.130, 76
2.873, 37
2.399, 36
2.287, 37
1.789, 53
1.666, 23



No. 5
The following is a theoretical XRD peak list of CsRe2N3. It was derived from a DFT-relaxed cell (PBE, the Materials Project), using Cu Ka.

Cell and atoms:
Cell lengths 9.0176, 9.0176, 7.3541 Å; angles 109.77, 109.77, 108.12 degrees
Fractional positions:
Cs  0.0117  0.9883  0.7500
Cs  0.4662  0.5338  0.2500
Cs  0.5338  0.4662  0.7500
Cs  0.9883  0.0117  0.2500
Re  0.0536  0.6329  0.8943
Re  0.1529  0.5955  0.5424
Re  0.3671  0.9464  0.6057
Re  0.4045  0.8471  0.9576
Re  0.5955  0.1529  0.0424
Re  0.6329  0.0536  0.3943
Re  0.8471  0.4045  0.4576
Re  0.9464  0.3671  0.1057
N  0.0329  0.6235  0.1622
N  0.1283  0.7329  0.3840
N  0.1625  0.4041  0.3302
N  0.2671  0.8717  0.1160
N  0.3765  0.9671  0.3378
N  0.4041  0.1625  0.8302
N  0.5959  0.8375  0.1698
N  0.6235  0.0329  0.6622
N  0.7329  0.1283  0.8840
N  0.8375  0.5959  0.6698
N  0.8717  0.2671  0.6160
N  0.9671  0.3765  0.8378

The 10 most intense peaks (2θ = 5–70°), sorted by position:
d_spacing, intensity
7.301, 100
6.514, 17
3.721, 28
3.650, 45
2.990, 49
2.779, 35
2.607, 29
2.232, 25
2.073, 28
1.722, 19



No. 6
The following is a theoretical XRD peak list of Cs3Re2N5. It was derived from a DFT-relaxed cell (PBE, the Materials Project), using Cu Ka.

Cell and atoms:
Cell lengths 11.1188, 11.1188, 11.1188 Å; angles 101.25, 101.25, 127.58 degrees
Fractional positions:
Cs  0.0000  0.0000  0.0000
Cs  0.0478  0.3658  0.8311
Cs  0.1158  0.7848  0.8180
Cs  0.2211  0.0217  0.3421
Cs  0.2426  0.7426  0.5000
Cs  0.4926  0.4926  0.0000
Cs  0.5348  0.2168  0.1689
Cs  0.6290  0.4711  0.6993
Cs  0.6797  0.8790  0.6579
Cs  0.7500  0.2500  0.5000
Cs  0.7717  0.9297  0.3007
Cs  0.9668  0.2978  0.1820
Re  0.1847  0.1110  0.6808
Re  0.2538  0.4347  0.5737
Re  0.3140  0.7177  0.1744
Re  0.4302  0.5038  0.3192
Re  0.4677  0.7932  0.9036
Re  0.5432  0.1396  0.8256
Re  0.8610  0.6802  0.4263
Re  0.8896  0.5640  0.0964
N  0.0370  0.9075  0.5199
N  0.0444  0.3260  0.4751
N  0.0760  0.1009  0.7816
N  0.0905  0.6020  0.1324
N  0.2671  0.2870  0.6295
N  0.3193  0.2944  0.2184
N  0.3469  0.6121  0.7360
N  0.3520  0.7197  0.0115
N  0.3609  0.5969  0.2349
N  0.3621  0.1260  0.7651
N  0.3876  0.5171  0.4801
N  0.4432  0.9239  0.2932
N  0.4697  0.9582  0.8676
N  0.6307  0.1500  0.7068
N  0.6575  0.6376  0.3705
N  0.6739  0.8807  0.9807
N  0.7082  0.3405  0.9885
N  0.8509  0.5693  0.5249
N  0.8760  0.6109  0.2640
N  0.9000  0.6932  0.0193

The 10 most intense peaks (2θ = 5–70°), sorted by position:
d_spacing, intensity
8.061, 13
3.635, 20
3.302, 100
3.231, 24
3.189, 13
3.155, 59
2.906, 20
2.231, 14
1.848, 19
1.723, 13



No. 7
The following is a theoretical XRD peak list of CsSnN. It was derived from a DFT-relaxed cell (PBE, the Materials Project), using Cu Ka.

Cell and atoms:
Cell lengths 3.5917, 3.5917, 13.3536 Å; angles 90.00, 90.00, 120.00 degrees
Fractional positions:
Cs  0.3333  0.6667  0.0000
Cs  0.6667  0.3333  0.5000
Sn  0.0000  0.0000  0.2582
Sn  0.0000  0.0000  0.7582
N  0.3333  0.6667  0.3348
N  0.6667  0.3333  0.8348

The 10 most intense peaks (2θ = 5–70°), sorted by position:
d_spacing, intensity
3.338, 46
3.029, 42
2.820, 100
2.550, 35
2.026, 13
1.810, 30
1.796, 28
1.626, 7
1.582, 32
1.515, 16



No. 8
The following is a theoretical XRD peak list of CsVN2. It was derived from a DFT-relaxed cell (PBE, the Materials Project), using Cu Ka.

Cell and atoms:
Cell lengths 5.9421, 5.9421, 5.9421 Å; angles 60.00, 60.00, 60.00 degrees
Fractional positions:
Cs  0.1250  0.1250  0.1250
Cs  0.8750  0.8750  0.8750
V  0.3750  0.3750  0.3750
V  0.6250  0.6250  0.6250
N  0.0000  0.5000  0.5000
N  0.5000  0.0000  0.5000
N  0.5000  0.5000  0.0000
N  0.5000  0.5000  0.5000

The 10 most intense peaks (2θ = 5–70°), sorted by position:
d_spacing, intensity
4.852, 11
2.971, 100
2.534, 19
2.426, 1
2.101, 13
1.928, 4
1.715, 38
1.617, 6
1.486, 14
1.420, 3



Repeat the eighth record exactly.
The following is a theoretical XRD peak list of CsVN2. It was derived from a DFT-relaxed cell (PBE, the Materials Project), using Cu Ka.

Cell and atoms:
Cell lengths 5.9421, 5.9421, 5.9421 Å; angles 60.00, 60.00, 60.00 degrees
Fractional positions:
Cs  0.1250  0.1250  0.1250
Cs  0.8750  0.8750  0.8750
V  0.3750  0.3750  0.3750
V  0.6250  0.6250  0.6250
N  0.0000  0.5000  0.5000
N  0.5000  0.0000  0.5000
N  0.5000  0.5000  0.0000
N  0.5000  0.5000  0.5000

The 10 most intense peaks (2θ = 5–70°), sorted by position:
d_spacing, intensity
4.852, 11
2.971, 100
2.534, 19
2.426, 1
2.101, 13
1.928, 4
1.715, 38
1.617, 6
1.486, 14
1.420, 3